Record 1
# LiBeBO3
Theoretical powder diffraction line list, copper Kα. Input: a crystal structure in the Materials Project, relaxed with PBE.

```
data_LiBeBO3
_cell_length_a 4.6376
_cell_length_b 4.7067
_cell_length_c 6.0068
_cell_angle_alpha 68.03
_cell_angle_beta 72.60
_cell_angle_gamma 61.15
_space_group_name_H-M_alt 'P -1'
_space_group_IT_number 2
loop_
_space_group_symop_operation_xyz
'x,y,z'
'-x,-y,-z'
loop_
_atom_site_label
_atom_site_fract_x
_atom_site_fract_y
_atom_site_fract_z
Li1 0.2436 0.1328 0.1620
Be1 0.1441 0.2740 0.6541
B1 0.4295 0.5994 0.7278
O1 0.1722 0.9023 0.7387
O2 0.2431 0.4218 0.3455
O3 0.3734 0.3129 0.7912
```

Top 6 peaks for 2θ from 5° to 70°, in order of rising 2θ:
Position (°2θ)	d_spacing	intensity	h k l
16.08	5.511	22	0 0 1
29.35	3.043	24	1 0 -1
32.02	2.795	64	1 1 2
32.49	2.755	100	0 0 2
37.98	2.369	26	1 -1 0
39.01	2.309	22	2 1 1

=====

Record 2
# MgBe2B
Theoretical powder diffraction line list, copper Kα. Input: a crystal structure in the Materials Project, relaxed with PBE.

```
data_MgBe2B
_cell_length_a 5.4557
_cell_length_b 5.4557
_cell_length_c 5.4557
_cell_angle_alpha 90.00
_cell_angle_beta 90.00
_cell_angle_gamma 90.00
_space_group_name_H-M_alt 'F -4 3 m'
_space_group_IT_number 216
_space_group_name_Hall 'F -4 2 3'
loop_
_atom_site_label
_atom_site_fract_x
_atom_site_fract_y
_atom_site_fract_z
Mg1 0.0000 0.0000 0.0000
Be1 0.0000 0.0000 0.5000
Be2 0.2500 0.2500 0.7500
B1 0.2500 0.2500 0.2500
```

Top 6 peaks for 2θ from 5° to 70°, in order of rising 2θ:
Position (°2θ)	d_spacing	intensity	h k l
28.33	3.150	54	1 1 1
32.83	2.728	22	2 0 0
47.12	1.929	100	2 2 0
55.89	1.645	24	3 1 1
58.61	1.575	6	2 2 2
68.84	1.364	15	4 0 0